Structure and simulated powder X-ray diffraction pattern of BaDyCo4O7 (DFT lattice parameters and positions (GGA+U); Cu Ka).
Peak positions follow from Bragg's law for the DFT cell and can differ from measured ones.

Most intense lines, 15° ≤ 2θ ≤ 90°, in order of rising 2θ:
| 2theta | intensity | index |
| --- | --- | --- |
| 28.22 | 57 | 1 1 0 |
| 30.66 | 100 | 1 0 3 |
| 33.22 | 89 | 1 1 2 |
| 33.87 | 77 | 2 0 1 |
| 51.50 | 46 | 2 1 3 |
| 53.21 | 29 | 0 0 6 |
| 55.71 | 34 | 2 0 5 |
| 58.37 | 38 | 2 2 0 |
| 67.38 | 21 | 3 1 3 |
| 82.90 | 22 | 2 2 6 |

Cell and atoms:
```
data_BaDyCo4O7
_symmetry_space_group_name_H-M 'P 63 m c'
_symmetry_Int_Tables_number 186
_symmetry_space_group_name_Hall 'P 6c -2c'
_cell_length_a 6.3238
_cell_length_b 6.3238
_cell_length_c 10.3358
_cell_angle_alpha 90.00
_cell_angle_beta 90.00
_cell_angle_gamma 120.00
loop_
_atom_site_label
_atom_site_type_symbol
_atom_site_fract_x
_atom_site_fract_y
_atom_site_fract_z
Ba1 Ba 0.3333 0.6667 0.0000
Dy1 Dy 0.3333 0.6667 0.3586
Co1 Co 0.0000 0.0000 0.4271
Co2 Co 0.1689 0.3378 0.6713
O1 O 0.0000 0.0000 0.2380
O2 O 0.0095 0.5048 0.2232
O3 O 0.1664 0.3328 0.4848
```